# 1
The following is a theoretical XRD peak list of Sm3InO6. It was derived from DFT lattice parameters and positions (GGA-PBE), using a wavelength of 1.5418 Å.
Neutral-atom scattering factors, no anomalous dispersion.

Crystal structure
```
Sm3InO6
1.0
4.9155 2.8380 3.7848
-4.9155 2.8380 3.7848
0.0000 -5.6760 3.7848
Sm In O
6 2 12
Direct
0.0600 0.7533 0.5675
0.2467 0.4325 0.9400
0.4325 0.9400 0.2467
0.5675 0.0600 0.7533
0.7533 0.5675 0.0600
0.9400 0.2467 0.4325
0.0000 0.0000 0.0000
0.5000 0.5000 0.5000
0.0349 0.6914 0.9052
0.0948 0.9651 0.3086
0.1916 0.4322 0.5883
0.3086 0.0948 0.9651
0.4117 0.8084 0.5678
0.4322 0.5883 0.1916
0.5678 0.4117 0.8084
0.5883 0.1916 0.4322
0.6914 0.9052 0.0349
0.8084 0.5678 0.4117
0.9052 0.0349 0.6914
0.9651 0.3086 0.0948
```

Largest 6 diffraction maxima, sorted by position, 10° ≤ 2θ ≤ 80°:
2theta, d/Å, I (rel.)
23.51, 3.785, 39
28.84, 3.096, 100
29.79, 2.999, 41
31.97, 2.800, 70
42.46, 2.129, 32
49.04, 1.858, 37

# 2
The following is a theoretical XRD peak list of Na2MnI5. It was derived from DFT lattice parameters and positions (GGA-PBE), using a wavelength of 1.5418 Å.
Neutral-atom scattering factors, no anomalous dispersion.

Crystal structure
```
Na2MnI5
1.0
3.1757 -7.3848 0.0000
3.1757 7.3848 0.0000
0.0000 0.0000 13.9015
Na Mn I
4 2 10
Direct
0.1744 0.8256 0.5753
0.1744 0.8256 0.9247
0.8256 0.1744 0.0753
0.8256 0.1744 0.4247
0.1876 0.8124 0.2500
0.8124 0.1876 0.7500
0.0576 0.9424 0.1165
0.0576 0.9424 0.3835
0.3055 0.6945 0.7500
0.3179 0.6821 0.1098
0.3179 0.6821 0.3902
0.6821 0.3179 0.6098
0.6821 0.3179 0.8902
0.6945 0.3055 0.2500
0.9424 0.0576 0.6165
0.9424 0.0576 0.8835
```

Largest 6 diffraction maxima, sorted by position, 10° ≤ 2θ ≤ 80°:
2theta, d/Å, I (rel.)
16.48, 5.380, 32
22.85, 3.891, 68
24.53, 3.629, 74
28.10, 3.176, 82
30.97, 2.888, 100
42.30, 2.137, 82